Starting from DFT lattice parameters and positions (GGA-PBE), the powder diffractogram of NiMoP4 was calculated for Cu Kα (λ = 1.5418 Å).
Kinematic intensities with the Lorentz-polarization factor, no thermal factor.

Largest 8 diffraction maxima, by intensity, 10 to 80 degrees two-theta:
| Position (°2θ) | intensity |
| --- | --- |
| 27.49 | 100 |
| 48.35 | 46 |
| 21.88 | 42 |
| 40.21 | 41 |
| 40.09 | 39 |
| 32.02 | 38 |
| 36.54 | 35 |
| 54.94 | 28 |

Structural model:
Unit cell a=5.186 b=6.537 c=5.391 alpha=90.00 beta=90.22 gamma=90.00
Atoms (fractional coordinates):
Ni1 0.000 0.115 0.250
Ni2 0.000 0.885 0.750
Mo1 0.500 0.403 0.750
Mo2 0.500 0.597 0.250
P1 0.163 0.403 0.054
P2 0.163 0.597 0.554
P3 0.326 0.091 0.557
P4 0.326 0.909 0.057
P5 0.674 0.091 0.943
P6 0.674 0.909 0.443
P7 0.837 0.403 0.446
P8 0.837 0.597 0.946

=====

Starting from DFT lattice parameters and positions (GGA-PBE), the powder diffractogram of Li12Zn2Rh was calculated for Cu Kα (λ = 1.5418 Å).
Kinematic intensities with the Lorentz-polarization factor, no thermal factor.

Largest 8 diffraction maxima, by intensity, 10 to 80 degrees two-theta:
| Position (°2θ) | intensity |
| --- | --- |
| 18.91 | 100 |
| 18.32 | 84 |
| 38.39 | 73 |
| 42.85 | 70 |
| 26.44 | 64 |
| 14.15 | 39 |
| 54.48 | 30 |
| 38.11 | 26 |

Structural model:
Unit cell a=2.705 b=4.843 c=18.775 alpha=90.00 beta=90.00 gamma=90.00
Atoms (fractional coordinates):
Li1 0.000 0.000 0.065
Li2 0.000 0.000 0.935
Li3 0.000 0.241 0.500
Li4 0.000 0.759 0.500
Li5 0.500 0.000 0.213
Li6 0.500 0.000 0.348
Li7 0.500 0.000 0.652
Li8 0.500 0.000 0.787
Li9 0.500 0.500 0.122
Li10 0.500 0.500 0.381
Li11 0.500 0.500 0.619
Li12 0.500 0.500 0.878
Zn1 0.000 0.500 0.257
Zn2 0.000 0.500 0.743
Rh1 0.000 0.500 0.000

=====

Starting from DFT lattice parameters and positions (GGA-PBE), the powder diffractogram of Th5Sb2N was calculated for Cu Kα (λ = 1.5418 Å).
Kinematic intensities with the Lorentz-polarization factor, no thermal factor.

Largest 8 diffraction maxima, by intensity, 10 to 80 degrees two-theta:
| Position (°2θ) | intensity |
| --- | --- |
| 31.72 | 100 |
| 34.27 | 61 |
| 31.14 | 55 |
| 29.37 | 44 |
| 43.34 | 40 |
| 57.47 | 35 |
| 63.33 | 21 |
| 55.78 | 21 |

Structural model:
Unit cell a=9.158 b=8.211 c=5.739 alpha=79.92 beta=61.98 gamma=38.10
Atoms (fractional coordinates):
Th1 0.000 0.000 0.000
Th2 0.211 0.558 0.442
Th3 0.442 0.789 0.211
Th4 0.558 0.211 0.789
Th5 0.789 0.442 0.558
Sb1 0.200 0.200 0.800
Sb2 0.800 0.800 0.200
N1 0.500 0.500 0.500

=====

Starting from DFT lattice parameters and positions (GGA-PBE), the powder diffractogram of Sm5P2Se2 was calculated for Cu Kα (λ = 1.5418 Å).
Kinematic intensities with the Lorentz-polarization factor, no thermal factor.

Largest 8 diffraction maxima, by intensity, 10 to 80 degrees two-theta:
| Position (°2θ) | intensity |
| --- | --- |
| 37.34 | 100 |
| 35.66 | 68 |
| 31.66 | 63 |
| 33.63 | 54 |
| 25.83 | 52 |
| 34.59 | 45 |
| 26.49 | 42 |
| 32.81 | 28 |

Structural model:
Unit cell a=8.314 b=8.314 c=7.733 alpha=90.00 beta=90.00 gamma=55.23
Atoms (fractional coordinates):
Sm1 0.000 0.000 0.000
Sm2 0.027 0.711 0.656
Sm3 0.211 0.527 0.156
Sm4 0.289 0.973 0.656
Sm5 0.473 0.789 0.156
Sm6 0.500 0.500 0.500
Sm7 0.527 0.211 0.844
Sm8 0.711 0.027 0.344
Sm9 0.789 0.473 0.844
Sm10 0.973 0.289 0.344
P1 0.146 0.854 0.355
P2 0.354 0.646 0.855
P3 0.646 0.354 0.145
P4 0.854 0.146 0.645
Se1 0.199 0.199 0.000
Se2 0.301 0.301 0.500
Se3 0.699 0.699 0.500
Se4 0.801 0.801 0.000

=====

Starting from DFT lattice parameters and positions (GGA-PBE), the powder diffractogram of Zr2Sb2Pt was calculated for Cu Kα (λ = 1.5418 Å).
Kinematic intensities with the Lorentz-polarization factor, no thermal factor.

Largest 8 diffraction maxima, by intensity, 10 to 80 degrees two-theta:
| Position (°2θ) | intensity |
| --- | --- |
| 34.65 | 100 |
| 38.41 | 63 |
| 27.44 | 38 |
| 59.55 | 35 |
| 43.67 | 23 |
| 32.41 | 23 |
| 72.35 | 16 |
| 34.22 | 14 |

Structural model:
Unit cell a=7.411 b=7.411 c=4.145 alpha=90.00 beta=90.00 gamma=90.00
Atoms (fractional coordinates):
Zr1 0.156 0.344 0.000
Zr2 0.344 0.844 0.000
Zr3 0.656 0.156 0.000
Zr4 0.844 0.656 0.000
Sb1 0.153 0.653 0.500
Sb2 0.347 0.153 0.500
Sb3 0.653 0.847 0.500
Sb4 0.847 0.347 0.500
Pt1 0.000 0.000 0.000
Pt2 0.500 0.500 0.000

=====

Starting from DFT lattice parameters and positions (GGA-PBE), the powder diffractogram of CaZr4In was calculated for Cu Kα (λ = 1.5418 Å).
Kinematic intensities with the Lorentz-polarization factor, no thermal factor.

Largest 8 diffraction maxima, by intensity, 10 to 80 degrees two-theta:
| Position (°2θ) | intensity |
| --- | --- |
| 35.23 | 100 |
| 36.85 | 46 |
| 56.61 | 33 |
| 62.15 | 28 |
| 29.91 | 22 |
| 74.50 | 17 |
| 18.19 | 15 |
| 73.51 | 11 |

Structural model:
Unit cell a=5.974 b=5.974 c=5.974 alpha=60.00 beta=60.00 gamma=60.00
Atoms (fractional coordinates):
Ca1 0.000 0.000 0.000
Zr1 0.373 0.373 0.373
Zr2 0.373 0.373 0.880
Zr3 0.373 0.880 0.373
Zr4 0.880 0.373 0.373
In1 0.750 0.750 0.750

=====

Starting from DFT lattice parameters and positions (GGA-PBE), the powder diffractogram of AuSe2I was calculated for Cu Kα (λ = 1.5418 Å).
Kinematic intensities with the Lorentz-polarization factor, no thermal factor.

Largest 8 diffraction maxima, by intensity, 10 to 80 degrees two-theta:
| Position (°2θ) | intensity |
| --- | --- |
| 12.88 | 100 |
| 22.40 | 65 |
| 21.70 | 49 |
| 35.41 | 45 |
| 28.50 | 39 |
| 32.62 | 32 |
| 29.84 | 27 |
| 38.91 | 26 |

Structural model:
Unit cell a=9.129 b=13.745 c=4.860 alpha=90.00 beta=90.00 gamma=90.00
Atoms (fractional coordinates):
Au1 0.210 0.000 0.000
Au2 0.290 0.500 0.500
Au3 0.710 0.500 0.000
Au4 0.790 0.000 0.500
Se1 0.120 0.401 0.803
Se2 0.120 0.599 0.197
Se3 0.380 0.099 0.303
Se4 0.380 0.901 0.697
Se5 0.620 0.099 0.197
Se6 0.620 0.901 0.803
Se7 0.880 0.401 0.697
Se8 0.880 0.599 0.303
I1 0.000 0.120 0.250
I2 0.000 0.880 0.750
I3 0.500 0.380 0.750
I4 0.500 0.620 0.250

=====

Starting from DFT lattice parameters and positions (GGA-PBE), the powder diffractogram of U2BeCo4Si3 was calculated for Cu Kα (λ = 1.5418 Å).
Kinematic intensities with the Lorentz-polarization factor, no thermal factor.

Largest 8 diffraction maxima, by intensity, 10 to 80 degrees two-theta:
| Position (°2θ) | intensity |
| --- | --- |
| 38.49 | 100 |
| 36.57 | 86 |
| 25.32 | 72 |
| 33.58 | 41 |
| 48.22 | 41 |
| 62.00 | 38 |
| 18.27 | 36 |
| 53.02 | 34 |

Structural model:
Unit cell a=3.775 b=3.775 c=9.712 alpha=90.00 beta=90.00 gamma=90.00
Atoms (fractional coordinates):
U1 0.000 0.500 0.238
U2 0.500 0.000 0.762
Be1 0.500 0.500 0.000
Co1 0.000 0.000 0.500
Co2 0.000 0.500 0.862
Co3 0.500 0.000 0.138
Co4 0.500 0.500 0.500
Si1 0.000 0.000 0.000
Si2 0.000 0.500 0.628
Si3 0.500 0.000 0.372

=====

Starting from DFT lattice parameters and positions (GGA-PBE), the powder diffractogram of CdPtAuC2 was calculated for Cu Kα (λ = 1.5418 Å).
Kinematic intensities with the Lorentz-polarization factor, no thermal factor.

Largest 8 diffraction maxima, by intensity, 10 to 80 degrees two-theta:
| Position (°2θ) | intensity |
| --- | --- |
| 25.85 | 100 |
| 42.17 | 93 |
| 32.74 | 91 |
| 22.99 | 70 |
| 54.39 | 51 |
| 34.86 | 50 |
| 46.97 | 39 |
| 63.83 | 28 |

Structural model:
Unit cell a=3.869 b=3.869 c=6.894 alpha=90.00 beta=90.00 gamma=90.00
Atoms (fractional coordinates):
Cd1 0.000 0.000 0.000
Pt1 0.500 0.500 0.500
Au1 0.500 0.500 0.000
C1 0.000 0.500 0.500
C2 0.500 0.000 0.500

=====

Starting from DFT lattice parameters and positions (GGA-PBE), the powder diffractogram of Pm3ZnRu was calculated for Cu Kα (λ = 1.5418 Å).
Kinematic intensities with the Lorentz-polarization factor, no thermal factor.

Largest 8 diffraction maxima, by intensity, 10 to 80 degrees two-theta:
| Position (°2θ) | intensity |
| --- | --- |
| 30.98 | 100 |
| 34.81 | 91 |
| 32.63 | 83 |
| 35.56 | 60 |
| 38.62 | 48 |
| 56.75 | 41 |
| 40.14 | 41 |
| 34.96 | 37 |

Structural model:
Unit cell a=9.344 b=8.587 c=5.913 alpha=77.84 beta=63.95 gamma=38.22
Atoms (fractional coordinates):
Pm1 0.196 0.196 0.804
Pm2 0.208 0.582 0.418
Pm3 0.418 0.792 0.208
Pm4 0.582 0.208 0.792
Pm5 0.792 0.418 0.582
Pm6 0.804 0.804 0.196
Zn1 0.192 0.808 0.808
Zn2 0.808 0.192 0.192
Ru1 0.250 0.250 0.250
Ru2 0.750 0.750 0.750